The following is a theoretical PXRD pattern of La3Dy7Ho. It was derived from a GGA-PBE-relaxed structure, using Cu Kα (weighted mean of Kα1 and Kα2).
No peak broadening, texture or thermal motion is included.

Principal peaks in the range 2θ from 10° to 90°, in order of rising 2θ:
| 2θ (°) | I_rel |
| --- | --- |
| 31.20 | 96.2 |
| 31.28 | 32.6 |
| 31.78 | 100.0 |
| 31.90 | 78.5 |
| 32.08 | 67.2 |
| 32.26 | 41.6 |
| 32.87 | 42.8 |
| 34.27 | 31.7 |

Atomic structure:
Unit cell a=6.5676 b=6.7468 c=8.6609 alpha=99.88 beta=98.31 gamma=95.34
Fractional positions:
La 0.0000 0.0000 0.0000
La 0.1941 0.5601 0.1669
La 0.8059 0.4399 0.8331
Dy 0.0117 0.7700 0.5772
Dy 0.2852 0.2742 0.7877
Dy 0.4361 0.7918 0.8527
Dy 0.5000 0.5000 0.5000
Dy 0.5639 0.2082 0.1473
Dy 0.7148 0.7258 0.2123
Dy 0.9883 0.2300 0.4228
Ho 0.5000 0.0000 0.5000


The following is a theoretical PXRD pattern of La4TbNd6. It was derived from a GGA-PBE-relaxed structure, using Cu Kα (weighted mean of Kα1 and Kα2).
No peak broadening, texture or thermal motion is included.

Principal peaks in the range 2θ from 10° to 90°, in order of rising 2θ:
| 2θ (°) | I_rel |
| --- | --- |
| 27.77 | 58.4 |
| 28.03 | 57.4 |
| 29.18 | 100.0 |
| 29.68 | 40.5 |
| 33.53 | 54.7 |
| 36.51 | 25.5 |
| 54.64 | 26.2 |
| 54.96 | 26.8 |

Atomic structure:
Unit cell a=9.6886 b=9.6886 c=9.6886 alpha=137.89 beta=137.89 gamma=61.07
Fractional positions:
La 0.0076 0.6328 0.0000
La 0.3672 0.3672 0.3748
La 0.6328 0.0076 0.0000
La 0.9924 0.9924 0.6252
Tb 0.0000 0.0000 0.0000
Nd 0.0000 0.5000 0.5000
Nd 0.2192 0.2192 0.6647
Nd 0.4455 0.7808 0.0000
Nd 0.5000 0.0000 0.5000
Nd 0.5545 0.5545 0.3353
Nd 0.7808 0.4455 0.0000


The following is a theoretical PXRD pattern of Al20Co3B6. It was derived from a GGA-PBE-relaxed structure, using Cu Kα (weighted mean of Kα1 and Kα2).
No peak broadening, texture or thermal motion is included.

Principal peaks in the range 2θ from 10° to 90°, in order of rising 2θ:
| 2θ (°) | I_rel |
| --- | --- |
| 22.02 | 16.5 |
| 35.16 | 23.8 |
| 38.64 | 61.9 |
| 41.08 | 100.0 |
| 44.92 | 40.7 |
| 69.92 | 31.2 |
| 71.58 | 16.2 |
| 82.85 | 24.7 |

Atomic structure:
Unit cell a=8.0722 b=8.0722 c=8.0722 alpha=60.00 beta=60.00 gamma=60.00
Fractional positions:
Al 0.0000 0.0000 0.3357
Al 0.0000 0.0000 0.6643
Al 0.0000 0.3357 0.0000
Al 0.0000 0.3357 0.6643
Al 0.0000 0.6643 0.0000
Al 0.0000 0.6643 0.3357
Al 0.1302 0.6233 0.6233
Al 0.3357 0.0000 0.0000
Al 0.3357 0.0000 0.6643
Al 0.3357 0.6643 0.0000
Al 0.3767 0.3767 0.3767
Al 0.3767 0.3767 0.8698
Al 0.3767 0.8698 0.3767
Al 0.6233 0.1302 0.6233
Al 0.6233 0.6233 0.1302
Al 0.6233 0.6233 0.6233
Al 0.6643 0.0000 0.0000
Al 0.6643 0.0000 0.3357
Al 0.6643 0.3357 0.0000
Al 0.8698 0.3767 0.3767
Co 0.0000 0.0000 0.0000
Co 0.2500 0.2500 0.2500
Co 0.7500 0.7500 0.7500
B 0.2830 0.2830 0.7170
B 0.2830 0.7170 0.2830
B 0.2830 0.7170 0.7170
B 0.7170 0.2830 0.2830
B 0.7170 0.2830 0.7170
B 0.7170 0.7170 0.2830


The following is a theoretical PXRD pattern of PrNd9Sm2. It was derived from a GGA-PBE-relaxed structure, using Cu Kα (weighted mean of Kα1 and Kα2).
No peak broadening, texture or thermal motion is included.

Principal peaks in the range 2θ from 10° to 90°, in order of rising 2θ:
| 2θ (°) | I_rel |
| --- | --- |
| 29.80 | 100.0 |
| 34.54 | 50.7 |
| 49.65 | 36.4 |
| 58.98 | 43.3 |
| 61.89 | 12.5 |
| 72.85 | 5.8 |
| 80.63 | 17.6 |
| 83.18 | 16.4 |

Atomic structure:
Unit cell a=5.1933 b=5.1933 c=15.5836 alpha=90.00 beta=90.00 gamma=90.00
Fractional positions:
Pr 0.0000 0.0000 0.0000
Nd 0.0000 0.5000 0.1679
Nd 0.0000 0.5000 0.5000
Nd 0.0000 0.5000 0.8321
Nd 0.5000 0.0000 0.1679
Nd 0.5000 0.0000 0.5000
Nd 0.5000 0.0000 0.8321
Nd 0.5000 0.5000 0.0000
Nd 0.5000 0.5000 0.3341
Nd 0.5000 0.5000 0.6659
Sm 0.0000 0.0000 0.3339
Sm 0.0000 0.0000 0.6661